Computed powder diffraction line list of Ca5ZnPd4 for Cu Kα X-rays, from a structure optimized by DFT (PBE).
Lines closer than 0.1° are merged.

Peak list (12 most intense, 2θ from 15° to 90°, in order of rising 2θ)
24.81°, rel. 218; 25.43°, rel. 111; 35.37°, rel. 524; 35.83°, rel. 1000; 44.07°, rel. 103; 50.89°, rel. 178; 52.24°, rel. 77; 63.80°, rel. 344; 64.68°, rel. 156; 75.93°, rel. 96; 85.59°, rel. 75; 85.85°, rel. 75

Cell and atoms:
```
Ca5ZnPd4
1.0
3.5884 0.0000 0.0000
0.0000 3.5884 0.0000
0.0000 0.0000 17.5110
Ca Zn Pd
5 1 4
direct
0.0000 0.0000 0.0000
0.0000 0.0000 0.1962
0.0000 0.0000 0.3920
0.0000 0.0000 0.6080
0.0000 0.0000 0.8038
0.5000 0.5000 0.5000
0.5000 0.5000 0.0988
0.5000 0.5000 0.2952
0.5000 0.5000 0.7048
0.5000 0.5000 0.9012
```



Computed powder diffraction line list of Tb7Ho2Th2 for Cu Kα X-rays, from a structure optimized by DFT (PBE).
Lines closer than 0.1° are merged.

Peak list (12 most intense, 2θ from 15° to 90°, in order of rising 2θ)
24.70°, rel. 128; 25.56°, rel. 177; 30.12°, rel. 137; 31.06°, rel. 735; 31.74°, rel. 311; 32.00°, rel. 1000; 33.84°, rel. 345; 33.98°, rel. 401; 44.98°, rel. 163; 50.10°, rel. 167; 55.40°, rel. 132; 55.82°, rel. 117

Cell and atoms:
```
Tb7Ho2Th2
1.0
5.6579 -5.7635 0.0000
5.6579 5.7635 0.0000
-2.3750 0.0000 5.5072
Tb Ho Th
7 2 2
direct
0.0000 0.0000 0.0000
0.0576 0.5918 0.8304
0.4082 0.9424 0.1696
0.4130 0.4130 0.1956
0.5870 0.5870 0.8044
0.5918 0.0576 0.8304
0.9424 0.4082 0.1696
0.2333 0.2333 0.5884
0.7667 0.7667 0.4116
0.2118 0.7882 0.5000
0.7882 0.2118 0.5000
```



Computed powder diffraction line list of MgUAs2Rh5 for Cu Kα X-rays, from a structure optimized by DFT (PBE).
Lines closer than 0.1° are merged.

Peak list (12 most intense, 2θ from 15° to 90°, in order of rising 2θ)
23.99°, rel. 265; 29.81°, rel. 114; 32.58°, rel. 234; 37.19°, rel. 1000; 37.72°, rel. 382; 41.00°, rel. 88; 43.95°, rel. 113; 44.29°, rel. 533; 59.55°, rel. 204; 61.93°, rel. 105; 64.42°, rel. 173; 76.80°, rel. 240

Cell and atoms:
```
MgUAs2Rh5
1.0
4.0905 0.0000 0.0000
0.0000 4.0905 0.0000
0.0000 0.0000 8.8061
Mg U As Rh
1 1 2 5
direct
0.0000 0.0000 0.0000
0.0000 0.0000 0.5000
0.5000 0.5000 0.3582
0.5000 0.5000 0.6418
0.0000 0.5000 0.2144
0.0000 0.5000 0.7856
0.5000 0.0000 0.2144
0.5000 0.0000 0.7856
0.5000 0.5000 0.0000
```



Computed powder diffraction line list of Np2AlH8 for Cu Kα X-rays, from a structure optimized by DFT (PBE).
Lines closer than 0.1° are merged.

Peak list (12 most intense, 2θ from 15° to 90°, in order of rising 2θ)
17.37°, rel. 642; 20.90°, rel. 252; 24.18°, rel. 228; 29.62°, rel. 1000; 32.54°, rel. 753; 34.54°, rel. 551; 34.81°, rel. 586; 38.51°, rel. 266; 45.99°, rel. 231; 50.32°, rel. 176; 52.87°, rel. 384; 57.47°, rel. 256

Cell and atoms:
```
Np2AlH8
1.0
-2.3379 5.1041 1.9735
2.3379 -5.1041 1.9735
2.3379 5.1041 -1.9735
Np Al H
2 1 8
direct
0.1844 0.0000 0.1844
0.8156 0.0000 0.8156
0.3176 0.8176 0.5000
0.1968 0.5023 0.6944
0.3686 0.2402 0.6242
0.3686 0.7444 0.1284
0.6160 0.2402 0.8716
0.6160 0.7444 0.3758
0.8079 0.5023 0.3056
0.9918 0.2357 0.2439
0.9918 0.7480 0.7561
```